[1]
VCdRu: computed powder XRD pattern (Cu Kα, 1.54184 Å), based on a structure optimized by DFT (GGA-PBE).
Lines closer than 0.1° are merged.

Largest 6 diffraction maxima, in order of rising 2θ, 2θ from 10° to 90°:
| Position (°2θ) | d [Å] | I (rel.) | (hkl) |
| --- | --- | --- | --- |
| 30.2 | 2.957 | 19 | 1 0 1 |
| 39.5 | 2.280 | 100 | 1 0 3 |
| 41.3 | 2.186 | 49 | 1 1 0 |
| 59.8 | 1.546 | 16 | 2 0 0 |
| 70.5 | 1.336 | 12 | 1 1 6 |
| 74.1 | 1.279 | 29 | 2 1 3 |

Crystal structure
abc: 3.0916 3.0916 10.1265
angles: 90.00 90.00 90.00
Space group I4mm (No. 107)
Symmetry-distinct sites (fractional):
V 0.0000 0.0000 0.0000 (multiplicity 2)
Cd 0.0000 0.0000 0.3089 (multiplicity 2)
Ru 0.0000 0.0000 0.6176 (multiplicity 2)



[2]
Na3HoNp3S8: computed powder XRD pattern (Cu Kα, 1.54184 Å), based on a structure optimized by DFT (GGA-PBE).
Lines closer than 0.1° are merged.

Largest 6 diffraction maxima, in order of rising 2θ, 2θ from 10° to 90°:
| Position (°2θ) | d [Å] | I (rel.) | (hkl) |
| --- | --- | --- | --- |
| 13.3 | 6.669 | 100 | 0 0 3 |
| 26.1 | 3.414 | 54 | 0 2 1 |
| 27.2 | 3.274 | 35 | 2 0 2 |
| 31.4 | 2.848 | 82 | 0 2 4 |
| 44.7 | 2.028 | 30 | 2 0 8 |
| 45.3 | 2.000 | 30 | 2 2 0 |

Crystal structure
abc: 8.0017 8.0017 20.0078
angles: 90.00 90.00 120.00
Space group R-3m (No. 166, hexagonal axes)
Symmetry-distinct sites (fractional):
Na 0.0000 0.5000 0.0000 (multiplicity 9)
Ho 0.0000 0.0000 0.5000 (multiplicity 3)
Np 0.0000 0.5000 0.5000 (multiplicity 9)
S 0.0000 0.0000 0.2414 (multiplicity 6)
S 0.0006 0.5003 0.2401 (multiplicity 18)



[3]
Y2CoNi3: computed powder XRD pattern (Cu Kα, 1.54184 Å), based on a structure optimized by DFT (GGA-PBE).
Lines closer than 0.1° are merged.

Largest 6 diffraction maxima, in order of rising 2θ, 2θ from 10° to 90°:
| Position (°2θ) | d [Å] | I (rel.) | (hkl) |
| --- | --- | --- | --- |
| 33.1 | 2.709 | 38 | 1 1 2 |
| 34.3 | 2.612 | 100 | 1 0 3 |
| 35.3 | 2.545 | 67 | 0 2 0 |
| 43.8 | 2.066 | 36 | 2 0 0 |
| 50.0 | 1.823 | 66 | 1 2 3 |
| 57.5 | 1.604 | 31 | 2 2 0 |

Crystal structure
abc: 4.1326 5.0891 10.1116
angles: 90.00 90.00 90.00
Space group Immm (No. 71)
Symmetry-distinct sites (fractional):
Y 0.0000 0.0000 0.1879 (multiplicity 4)
Co 0.0000 0.0000 0.5000 (multiplicity 2)
Ni 0.0000 0.5000 0.1134 (multiplicity 4)
Ni 0.0000 0.5000 0.5000 (multiplicity 2)



[4]
Mn2CoRe: computed powder XRD pattern (Cu Kα, 1.54184 Å), based on a structure optimized by DFT (GGA-PBE).
Lines closer than 0.1° are merged.

Largest 6 diffraction maxima, in order of rising 2θ, 2θ from 10° to 90°:
| Position (°2θ) | d [Å] | I (rel.) | (hkl) |
| --- | --- | --- | --- |
| 17.1 | 5.187 | 22 | 0 0 1 |
| 30.5 | 2.933 | 19 | 0 1 1 |
| 43.2 | 2.095 | 100 | 1 1 0 |
| 49.7 | 1.833 | 32 | 1 0 2 |
| 74.3 | 1.276 | 19 | 1 2 2 |
| 88.7 | 1.102 | 23 | 2 1 2 |

Crystal structure
abc: 2.5917 3.5566 5.1873
angles: 90.00 90.00 90.00
Space group Pmmm (No. 47)
Symmetry-distinct sites (fractional):
Mn 0.0000 0.0000 0.2291 (multiplicity 2)
Co 0.5000 0.5000 0.0000 (multiplicity 1)
Re 0.5000 0.5000 0.5000 (multiplicity 1)



[5]
Nd2SmCuTe5: computed powder XRD pattern (Cu Kα, 1.54184 Å), based on a structure optimized by DFT (GGA-PBE).
Lines closer than 0.1° are merged.

Largest 6 diffraction maxima, in order of rising 2θ, 2θ from 10° to 90°:
| Position (°2θ) | d [Å] | I (rel.) | (hkl) |
| --- | --- | --- | --- |
| 25.1 | 3.548 | 17 | 1 1 2 |
| 28.7 | 3.113 | 41 | 0 6 1 |
| 29.4 | 3.033 | 100 | 1 1 3 |
| 34.1 | 2.632 | 68 | 1 5 2 |
| 39.4 | 2.286 | 20 | 0 6 4 |
| 41.7 | 2.166 | 30 | 2 0 0 |

Crystal structure
abc: 4.3311 19.2322 13.0719
angles: 90.00 90.00 90.00
Space group Cmc2_1 (No. 36)
Symmetry-distinct sites (fractional):
Nd 0.0000 0.1084 0.0000 (multiplicity 4)
Nd 0.0000 0.1228 0.6223 (multiplicity 4)
Sm 0.0000 0.1914 0.3246 (multiplicity 4)
Cu 0.0000 0.4296 0.7732 (multiplicity 4)
Te 0.0000 0.0407 0.3790 (multiplicity 4)
Te 0.0000 0.2868 0.9919 (multiplicity 4)
Te 0.0000 0.3154 0.6552 (multiplicity 4)
Te 0.0000 0.3569 0.3145 (multiplicity 4)
Te 0.0000 0.5001 0.1012 (multiplicity 4)



[6]
K2TlPbF8: computed powder XRD pattern (Cu Kα, 1.54184 Å), based on a structure optimized by DFT (GGA-PBE).
Lines closer than 0.1° are merged.

Largest 6 diffraction maxima, in order of rising 2θ, 2θ from 10° to 90°:
| Position (°2θ) | d [Å] | I (rel.) | (hkl) |
| --- | --- | --- | --- |
| 14.1 | 6.265 | 79 | 0 0 1 |
| 22.5 | 3.957 | 43 | 0 2 0 |
| 26.5 | 3.362 | 34 | 1 0 -1 |
| 26.7 | 3.340 | 100 | 0 2 1 |
| 43.3 | 2.092 | 31 | 1 2 -2 |
| 43.5 | 2.081 | 28 | 1 2 2 |

Crystal structure
abc: 3.9649 7.8968 6.2654
angles: 90.00 90.42 90.00
Space group P2/m (No. 10)
Symmetry-distinct sites (fractional):
K 0.0000 0.2446 0.0000 (multiplicity 2)
Tl 0.5000 0.0000 0.5000 (multiplicity 1)
Pb 0.5000 0.5000 0.5000 (multiplicity 1)
F 0.0002 0.5000 0.2953 (multiplicity 2)
F 0.0057 0.0000 0.2943 (multiplicity 2)
F 0.4961 0.2451 0.7081 (multiplicity 4)



[7]
Sn2SbSe2I3: computed powder XRD pattern (Cu Kα, 1.54184 Å), based on a structure optimized by DFT (GGA-PBE).
Lines closer than 0.1° are merged.

Largest 6 diffraction maxima, in order of rising 2θ, 2θ from 10° to 90°:
| Position (°2θ) | d [Å] | I (rel.) | (hkl) |
| --- | --- | --- | --- |
| 18.7 | 4.739 | 37 | 0 2 3 |
| 26.8 | 3.326 | 100 | 1 3 1 |
| 27.6 | 3.229 | 43 | 0 2 5 |
| 28.2 | 3.162 | 74 | 1 3 2 |
| 29.3 | 3.053 | 79 | 1 1 4 |
| 41.2 | 2.192 | 44 | 2 0 0 |

Crystal structure
abc: 4.3849 16.0014 17.6459
angles: 90.00 90.00 90.00
Space group Cmc2_1 (No. 36)
Symmetry-distinct sites (fractional):
Sn 0.0000 0.0795 0.0000 (multiplicity 4)
Sn 0.0000 0.1984 0.5478 (multiplicity 4)
Sb 0.0000 0.2364 0.2994 (multiplicity 4)
Se 0.0000 0.2073 0.1051 (multiplicity 4)
Se 0.0000 0.3165 0.4280 (multiplicity 4)
I 0.0000 0.1429 0.7438 (multiplicity 4)
I 0.0000 0.3868 0.8558 (multiplicity 4)
I 0.0000 0.4960 0.1015 (multiplicity 4)



[8]
Ac4Pm6Y: computed powder XRD pattern (Cu Kα, 1.54184 Å), based on a structure optimized by DFT (GGA-PBE).
Lines closer than 0.1° are merged.

Largest 6 diffraction maxima, in order of rising 2θ, 2θ from 10° to 90°:
| Position (°2θ) | d [Å] | I (rel.) | (hkl) |
| --- | --- | --- | --- |
| 27.0 | 3.299 | 49 | 2 0 2 |
| 27.6 | 3.226 | 100 | 1 1 4 |
| 28.3 | 3.153 | 92 | 2 1 1 |
| 29.5 | 3.031 | 29 | 1 0 5 |
| 32.9 | 2.723 | 32 | 2 0 4 |
| 52.9 | 1.732 | 32 | 4 1 1 |

Crystal structure
abc: 7.1801 7.1801 16.7153
angles: 90.00 90.00 90.00
Space group I-42m (No. 121)
Symmetry-distinct sites (fractional):
Ac 0.1948 0.1948 0.3197 (multiplicity 8)
Pm 0.0000 0.5000 0.0000 (multiplicity 4)
Pm 0.1684 0.1684 0.1012 (multiplicity 8)
Y 0.0000 0.0000 0.5000 (multiplicity 2)



[9]
Al8ZnCr2: computed powder XRD pattern (Cu Kα, 1.54184 Å), based on a structure optimized by DFT (GGA-PBE).
Lines closer than 0.1° are merged.

Largest 6 diffraction maxima, in order of rising 2θ, 2θ from 10° to 90°:
| Position (°2θ) | d [Å] | I (rel.) | (hkl) |
| --- | --- | --- | --- |
| 22.8 | 3.899 | 37 | 2 0 0 |
| 25.2 | 3.534 | 42 | 1 1 1 |
| 41.4 | 2.179 | 100 | 0 4 1 |
| 41.5 | 2.174 | 100 | 3 1 1 |
| 41.9 | 2.155 | 52 | 0 0 2 |
| 44.0 | 2.058 | 49 | 3 3 0 |

Crystal structure
abc: 7.7987 10.1045 4.3093
angles: 90.00 90.00 90.00
Space group Cmmm (No. 65)
Symmetry-distinct sites (fractional):
Al 0.0000 0.2379 0.0000 (multiplicity 4)
Al 0.1660 0.0000 0.0000 (multiplicity 4)
Al 0.1720 0.3602 0.5000 (multiplicity 8)
Zn 0.0000 0.5000 0.0000 (multiplicity 2)
Cr 0.0000 0.1145 0.5000 (multiplicity 4)



[10]
Rb4HgH: computed powder XRD pattern (Cu Kα, 1.54184 Å), based on a structure optimized by DFT (GGA-PBE).
Lines closer than 0.1° are merged.

Largest 6 diffraction maxima, in order of rising 2θ, 2θ from 10° to 90°:
| Position (°2θ) | d [Å] | I (rel.) | (hkl) |
| --- | --- | --- | --- |
| 15.4 | 5.749 | 43 | 0 2 0 |
| 23.6 | 3.767 | 59 | 1 2 1 |
| 25.6 | 3.480 | 100 | 1 1 2 |
| 27.7 | 3.216 | 44 | 1 3 0 |
| 30.2 | 2.956 | 49 | 2 0 0 |
| 32.9 | 2.725 | 34 | 0 2 3 |

Crystal structure
abc: 5.9121 11.4986 9.2842
angles: 90.00 90.00 90.00
Space group Pmmn (No. 59, origin choice 2)
Symmetry-distinct sites (fractional):
Rb 0.2500 0.0639 0.1724 (multiplicity 4)
Rb 0.2500 0.2500 0.7112 (multiplicity 2)
Rb 0.2500 0.7500 0.5944 (multiplicity 2)
Hg 0.2500 0.7500 0.9988 (multiplicity 2)
H 0.2500 0.2500 0.3862 (multiplicity 2)



[11]
LaPb: computed powder XRD pattern (Cu Kα, 1.54184 Å), based on a structure optimized by DFT (GGA-PBE).
Lines closer than 0.1° are merged.

Largest 6 diffraction maxima, in order of rising 2θ, 2θ from 10° to 90°:
| Position (°2θ) | d [Å] | I (rel.) | (hkl) |
| --- | --- | --- | --- |
| 17.8 | 4.982 | 34 | 1 0 1 |
| 27.3 | 3.266 | 65 | 0 0 2 |
| 30.7 | 2.912 | 76 | 2 1 0 |
| 33.7 | 2.660 | 100 | 1 2 1 |
| 41.6 | 2.173 | 68 | 2 1 2 |
| 52.5 | 1.744 | 29 | 1 2 3 |

Crystal structure
abc: 8.8967 8.8967 6.5311
angles: 90.00 90.00 120.00
Space group P6_3/m (No. 176)
Symmetry-distinct sites (fractional):
La 0.0891 0.7695 0.2500 (multiplicity 6)
Pb 0.1232 0.6586 0.7500 (multiplicity 6)



[12]
Ho8C3N: computed powder XRD pattern (Cu Kα, 1.54184 Å), based on a structure optimized by DFT (GGA-PBE).
Lines closer than 0.1° are merged.

Largest 6 diffraction maxima, in order of rising 2θ, 2θ from 10° to 90°:
| Position (°2θ) | d [Å] | I (rel.) | (hkl) |
| --- | --- | --- | --- |
| 29.6 | 3.018 | 33 | 0 0 2 |
| 30.8 | 2.908 | 100 | 2 2 0 |
| 35.3 | 2.541 | 77 | 4 0 0 |
| 50.1 | 1.822 | 24 | 2 2 2 |
| 51.6 | 1.773 | 28 | 0 4 0 |
| 60.6 | 1.528 | 27 | 6 2 0 |

Crystal structure
abc: 12.2785 7.0916 7.2959
angles: 90.00 124.19 90.00
Space group C2/m (No. 12)
Symmetry-distinct sites (fractional):
Ho 0.0093 0.2493 0.2790 (multiplicity 8)
Ho 0.2399 0.0000 0.7209 (multiplicity 4)
Ho 0.2419 0.5000 0.7254 (multiplicity 4)
C 0.0000 0.5000 0.5000 (multiplicity 2)
C 0.2500 0.2500 0.5000 (multiplicity 4)
N 0.0000 0.0000 0.5000 (multiplicity 2)



[13]
K2NaCdSb2: computed powder XRD pattern (Cu Kα, 1.54184 Å), based on a structure optimized by DFT (GGA-PBE).
Lines closer than 0.1° are merged.

Largest 6 diffraction maxima, in order of rising 2θ, 2θ from 10° to 90°:
| Position (°2θ) | d [Å] | I (rel.) | (hkl) |
| --- | --- | --- | --- |
| 10.5 | 8.401 | 90 | 0 2 0 |
| 13.6 | 6.504 | 67 | 1 1 0 |
| 20.8 | 4.280 | 100 | 1 2 1 |
| 33.2 | 2.701 | 81 | 2 4 0 |
| 33.3 | 2.692 | 85 | 0 4 2 |
| 36.1 | 2.487 | 92 | 2 0 2 |

Crystal structure
abc: 7.0534 16.8010 7.0152
angles: 90.00 90.00 90.00
Space group Ibam (No. 72)
Symmetry-distinct sites (fractional):
K 0.2420 0.1728 0.0000 (multiplicity 8)
Na 0.0000 0.0000 0.2500 (multiplicity 4)
Cd 0.0000 0.5000 0.2500 (multiplicity 4)
Sb 0.2251 0.3930 0.0000 (multiplicity 8)